Record 1
The following is a simulated X-ray diffraction stick pattern of MnAl2Te4. It was derived from a crystal structure in Alexandria, relaxed with PBE, using λ = 1.5418 Å (Cu Kα).

Top 6 peaks for 2θ = 10–90°, by intensity:
- (1 1 2), 3.512 Å, I = 100
- (2 0 4), 2.169 Å, I = 37
- (3 1 2), 1.813 Å, I = 28
- (2 0 0), 2.993 Å, I = 18
- (1 1 6), 1.880 Å, I = 17
- (2 2 0), 2.116 Å, I = 16

Structure:
```
data_MnAl2Te4
_cell_length_a 5.9854
_cell_length_b 5.9854
_cell_length_c 12.5879
_cell_angle_alpha 90.00
_cell_angle_beta 90.00
_cell_angle_gamma 90.00
_symmetry_space_group_name_H-M 'I -4 2 m'
_symmetry_Int_Tables_number 121
_symmetry_space_group_name_Hall 'I -4 2'
loop_
_atom_site_label
_atom_site_fract_x
_atom_site_fract_y
_atom_site_fract_z
Mn1 0.0000 0.0000 0.0000
Al1 0.0000 0.5000 0.2500
Te1 0.2329 0.2329 0.3785
```


Record 2
The following is a simulated X-ray diffraction stick pattern of Pm4SmCo. It was derived from a crystal structure in Alexandria, relaxed with PBE, using λ = 1.5418 Å (Cu Kα).

Top 6 peaks for 2θ = 10–90°, by intensity:
- (2 2 1), 2.735 Å, I = 100
- (4 0 1), 2.924 Å, I = 60
- (2 0 -2), 2.998 Å, I = 40
- (6 2 2), 1.557 Å, I = 30
- (4 2 -2), 2.240 Å, I = 26
- (2 2 0), 3.370 Å, I = 22

Structure:
```
data_Pm4SmCo
_cell_length_a 17.7830
_cell_length_b 7.3635
_cell_length_c 5.9970
_cell_angle_alpha 90.00
_cell_angle_beta 109.69
_cell_angle_gamma 90.00
_symmetry_space_group_name_H-M 'C 1 2/m 1'
_symmetry_Int_Tables_number 12
_symmetry_space_group_name_Hall '-C 2y'
loop_
_atom_site_label
_atom_site_fract_x
_atom_site_fract_y
_atom_site_fract_z
Pm1 0.0000 0.2340 0.0000
Pm2 0.1182 0.2487 0.6188
Pm3 0.1743 0.5000 0.1741
Sm1 0.1971 0.0000 0.1979
Co1 0.0005 0.5000 0.6876
```


Record 3
The following is a simulated X-ray diffraction stick pattern of LiLuCoSb. It was derived from a crystal structure in Alexandria, relaxed with PBE, using λ = 1.5418 Å (Cu Kα).

Top 6 peaks for 2θ = 10–90°, by intensity:
- (2 2 0), 2.262 Å, I = 100
- (2 0 0), 3.199 Å, I = 51
- (4 2 2), 1.306 Å, I = 34
- (4 2 0), 1.431 Å, I = 19
- (4 0 0), 1.600 Å, I = 17
- (2 2 2), 1.847 Å, I = 14

Structure:
```
data_LiLuCoSb
_cell_length_a 6.3990
_cell_length_b 6.3990
_cell_length_c 6.3990
_cell_angle_alpha 90.00
_cell_angle_beta 90.00
_cell_angle_gamma 90.00
_symmetry_space_group_name_H-M 'F -4 3 m'
_symmetry_Int_Tables_number 216
_symmetry_space_group_name_Hall 'F -4 2 3'
loop_
_atom_site_label
_atom_site_fract_x
_atom_site_fract_y
_atom_site_fract_z
Li1 0.0000 0.0000 0.0000
Lu1 0.2500 0.2500 0.7500
Co1 0.0000 0.0000 0.5000
Sb1 0.2500 0.2500 0.2500
```


Record 4
The following is a simulated X-ray diffraction stick pattern of Pr3MgTl4. It was derived from a crystal structure in Alexandria, relaxed with PBE, using λ = 1.5418 Å (Cu Kα).

Top 6 peaks for 2θ = 10–90°, by intensity:
- (0 2 4), 2.826 Å, I = 100
- (1 2 1), 2.860 Å, I = 84
- (0 4 0), 2.397 Å, I = 36
- (1 0 5), 2.229 Å, I = 35
- (1 1 2), 3.087 Å, I = 35
- (1 2 3), 2.476 Å, I = 33

Structure:
```
data_Pr3MgTl4
_cell_length_a 3.6850
_cell_length_b 9.5870
_cell_length_c 13.9969
_cell_angle_alpha 90.00
_cell_angle_beta 90.00
_cell_angle_gamma 90.00
_symmetry_space_group_name_H-M 'I m m m'
_symmetry_Int_Tables_number 71
_symmetry_space_group_name_Hall '-I 2 2'
loop_
_atom_site_label
_atom_site_fract_x
_atom_site_fract_y
_atom_site_fract_z
Pr1 0.0000 0.0000 0.0000
Pr2 0.0000 0.5000 0.2194
Mg1 0.0000 0.0000 0.5000
Tl1 0.0000 0.2568 0.3778
```


Record 5
The following is a simulated X-ray diffraction stick pattern of TmTc4Ge4. It was derived from a crystal structure in Alexandria, relaxed with PBE, using λ = 1.5418 Å (Cu Kα).

Top 6 peaks for 2θ = 10–90°, by intensity:
- (3 1 0), 2.599 Å, I = 100
- (2 3 1), 2.057 Å, I = 60
- (2 1 1), 2.915 Å, I = 47
- (1 0 2), 2.298 Å, I = 36
- (3 1 2), 1.760 Å, I = 30
- (2 4 0), 1.838 Å, I = 26

Structure:
```
data_TmTc4Ge4
_cell_length_a 8.2177
_cell_length_b 8.2177
_cell_length_c 4.7859
_cell_angle_alpha 90.00
_cell_angle_beta 90.00
_cell_angle_gamma 90.00
_symmetry_space_group_name_H-M 'P 42/n'
_symmetry_Int_Tables_number 86
loop_
_symmetry_equiv_pos_as_xyz
'x,y,z'
'-x,-y,-z'
'-y,x+1/2,z+1/2'
'y,-x+1/2,-z+1/2'
'-x+1/2,-y+1/2,z'
'x+1/2,y+1/2,-z'
'y+1/2,-x,z+1/2'
'-y+1/2,x,-z+1/2'
loop_
_atom_site_label
_atom_site_fract_x
_atom_site_fract_y
_atom_site_fract_z
Tm1 0.2500 0.2500 0.2500
Tc1 0.1166 0.8554 0.6679
Ge1 0.0344 0.8937 0.1767
```


Record 6
The following is a simulated X-ray diffraction stick pattern of MnCd2C. It was derived from a crystal structure in Alexandria, relaxed with PBE, using λ = 1.5418 Å (Cu Kα).

Top 6 peaks for 2θ = 10–90°, by intensity:
- (2 1 1), 2.737 Å, I = 100
- (3 1 0), 2.762 Å, I = 54
- (4 2 0), 1.953 Å, I = 24
- (3 2 1), 2.048 Å, I = 23
- (1 1 2), 1.831 Å, I = 16
- (5 0 1), 1.590 Å, I = 13

Structure:
```
data_MnCd2C
_cell_length_a 8.7341
_cell_length_b 8.7341
_cell_length_c 3.8350
_cell_angle_alpha 90.00
_cell_angle_beta 90.00
_cell_angle_gamma 90.00
_symmetry_space_group_name_H-M 'I -4 2 d'
_symmetry_Int_Tables_number 122
_symmetry_space_group_name_Hall 'I -4 2bw'
loop_
_atom_site_label
_atom_site_fract_x
_atom_site_fract_y
_atom_site_fract_z
Mn1 0.0000 0.0000 0.0000
Cd1 0.1188 0.2500 0.6250
C1 0.0000 0.0000 0.5000
```


Record 7
The following is a simulated X-ray diffraction stick pattern of KTlCdBr4. It was derived from a crystal structure in Alexandria, relaxed with PBE, using λ = 1.5418 Å (Cu Kα).

Top 6 peaks for 2θ = 10–90°, by intensity:
- (2 1 -2), 3.099 Å, I = 100
- (1 1 2), 3.064 Å, I = 95
- (1 2 0), 3.431 Å, I = 70
- (0 2 0), 3.864 Å, I = 66
- (2 2 0), 2.684 Å, I = 63
- (1 0 -1), 6.766 Å, I = 63

Structure:
```
data_KTlCdBr4
_cell_length_a 7.8306
_cell_length_b 7.7286
_cell_length_c 9.1161
_cell_angle_alpha 90.00
_cell_angle_beta 107.68
_cell_angle_gamma 90.00
_symmetry_space_group_name_H-M 'P 1 21/m 1'
_symmetry_Int_Tables_number 11
_symmetry_space_group_name_Hall '-P 2yb'
loop_
_atom_site_label
_atom_site_fract_x
_atom_site_fract_y
_atom_site_fract_z
K1 0.2217 0.2500 0.0609
Tl1 0.2458 0.2500 0.5602
Cd1 0.2440 0.7500 0.8053
Br1 0.0068 0.0059 0.7471
Br2 0.4367 0.7500 0.6169
Br3 0.4408 0.7500 0.0947
```


Record 8
The following is a simulated X-ray diffraction stick pattern of NpBe2TlF8. It was derived from a crystal structure in Alexandria, relaxed with PBE, using λ = 1.5418 Å (Cu Kα).

Top 6 peaks for 2θ = 10–90°, by intensity:
- (1 0 4), 3.617 Å, I = 100
- (0 1 2), 4.222 Å, I = 86
- (2 -1 6), 2.188 Å, I = 55
- (1 1 0), 2.599 Å, I = 36
- (0 1 8), 2.518 Å, I = 30
- (0 0 6), 4.051 Å, I = 28

Structure:
```
data_NpBe2TlF8
_cell_length_a 5.1986
_cell_length_b 5.1986
_cell_length_c 24.3061
_cell_angle_alpha 90.00
_cell_angle_beta 90.00
_cell_angle_gamma 120.00
_symmetry_space_group_name_H-M 'R -3'
_symmetry_Int_Tables_number 148
_symmetry_space_group_name_Hall '-R 3'
loop_
_atom_site_label
_atom_site_fract_x
_atom_site_fract_y
_atom_site_fract_z
Np1 0.0000 0.0000 0.0000
Be1 0.0000 0.0000 0.2510
Tl1 0.0000 0.0000 0.5000
F1 0.0000 0.0000 0.1897
F2 0.0049 0.2849 0.7233
```